Starting from a DFT-relaxed cell (GGA-PBE, the Materials Project), the powder diffractogram of Na6MgTi3Si2P4O24 was computed for Cu Kα, 1.54184 Å.

Structural model:
```
data_Na6MgTi3Si2P4O24
_chemical_formula_sum 'Na6 Mg1 Ti3 Si2 P4 O24'
_symmetry_space_group_name_H-M 'P 1'
_symmetry_Int_Tables_number 1
_cell_length_a 8.8752
_cell_length_b 8.8825
_cell_length_c 8.8962
_cell_angle_alpha 119.43
_cell_angle_beta 119.92
_cell_angle_gamma 90.36
loop_
_symmetry_equiv_pos_as_xyz
'x,y,z'
loop_
_atom_site_label
_atom_site_fract_x
_atom_site_fract_y
_atom_site_fract_z
Na1 0.0000 0.0000 0.0000
Na2 0.1144 0.2540 0.5003
Na3 0.2325 0.5345 0.0239
Na4 0.3516 0.9858 0.6058
Na5 0.6165 0.7624 0.5036
Na6 0.8743 0.5549 0.3734
Mg1 0.9680 0.8269 0.2128
Ti1 0.2663 0.6989 0.7888
Ti2 0.4672 0.3223 0.2105
Ti3 0.7719 0.2075 0.8000
Si1 0.0737 0.0166 0.7122
Si2 0.1664 0.5156 0.3025
P1 0.3781 0.0078 0.2937
P2 0.5734 0.5086 0.9966
P3 0.6603 0.0204 0.0072
P4 0.8693 0.5235 0.7154
O1 0.0420 0.5160 0.7079
O2 0.0666 0.0129 0.5284
O3 0.1158 0.8349 0.7185
O4 0.1411 0.6923 0.3006
O5 0.1787 0.5245 0.4987
O6 0.2123 0.0180 0.3073
O7 0.2501 0.1939 0.9441
O8 0.3297 0.8280 0.0886
O9 0.3555 0.4921 0.3159
O10 0.3889 0.5202 0.8473
O11 0.4345 0.1727 0.2923
O12 0.4882 0.8503 0.8844
O13 0.5397 0.0182 0.4871
O14 0.5482 0.4969 0.1551
O15 0.5995 0.3298 0.8604
O16 0.6274 0.1959 0.1313
O17 0.6607 0.0161 0.8289
O18 0.7135 0.5012 0.5108
O19 0.7416 0.6741 0.1338
O20 0.8251 0.3579 0.7262
O21 0.8417 0.0110 0.1515
O22 0.8885 0.0266 0.7128
O23 0.9083 0.7013 0.9082
O24 0.9795 0.3333 0.0803
```

The 6 most intense peaks (10 to 90 degrees two-theta), sorted by position:
hkl 2 0 -1, 2θ 20.0, 4.446 Å, I 69
hkl 1 0 1, 2θ 23.4, 3.805 Å, I 84
hkl 1 2 -2, 2θ 23.5, 3.781 Å, I 78
hkl 1 1 1, 2θ 31.6, 2.827 Å, I 82
hkl 2 2 -1, 2θ 31.8, 2.811 Å, I 57
hkl 0 2 -3, 2θ 35.0, 2.566 Å, I 100